Starting from a PBE-relaxed structure, the powder diffractogram of PaMn2Ge2 was computed for a wavelength of 1.5418 Å.
No peak broadening, texture or thermal motion is included.

Top 12 peaks for 2θ = 10–90°, low angle first:
| h k l | d [Å] | 2theta | Rel. int. |
| --- | --- | --- | --- |
| 1 1 1 | 3.829 | 23.23 | 62 |
| 0 2 0 | 3.330 | 26.77 | 20 |
| 0 2 2 | 2.672 | 33.54 | 100 |
| 1 1 3 | 2.440 | 36.84 | 84 |
| 2 0 2 | 2.340 | 38.48 | 69 |
| 2 2 0 | 2.118 | 42.70 | 80 |
| 1 3 3 | 1.694 | 54.13 | 28 |
| 0 4 0 | 1.665 | 55.16 | 19 |
| 1 1 5 | 1.649 | 55.73 | 32 |
| 2 2 4 | 1.538 | 60.15 | 19 |
| 3 1 3 | 1.519 | 61.01 | 19 |
| 2 4 2 | 1.357 | 69.26 | 25 |

Atomic structure:
Lattice parameters (Å, degrees): 5.488 6.660 8.954 90.00 90.00 90.00
Space group Fmmm (No. 69)
Symmetry-distinct sites (fractional):
Pa: 0.000 0.000 0.000 (multiplicity 4)
Mn: 0.000 0.000 0.386 (multiplicity 8)
Ge: 0.250 0.250 0.250 (multiplicity 8)